(1)
For Y4Pt3, the PBE geometry in Alexandria gives the computed powder XRD pattern in this record (CuKα).
Intensities are scaled so that the largest is 100.

Largest 6 diffraction maxima, by angle, 15 to 90 degrees two-theta:
(0 0 6), 22.20°, I 34; (1 0 3), 25.45°, I 48; (1 1 0), 32.54°, I 100; (1 1 6), 39.74°, I 31; (1 0 9), 41.00°, I 45; (2 0 0), 46.68°, I 37

```
data_Y4Pt3
_chemical_formula_sum 'Y8 Pt6'
_cell_length_a 3.8920
_cell_length_b 3.8920
_cell_length_c 24.0219
_cell_angle_alpha 90.00
_cell_angle_beta 90.00
_cell_angle_gamma 90.00
_space_group_name_H-M_alt 'I 4/m m m'
_space_group_IT_number 139
_space_group_name_Hall '-I 4 2'
loop_
_atom_site_label
_atom_site_fract_x
_atom_site_fract_y
_atom_site_fract_z
_atom_site_occupancy
Y1 0.0000 0.0000 0.0645 1
Y2 0.0000 0.0000 0.3063 1
Pt1 0.0000 0.0000 0.1806 1
Pt2 0.0000 0.0000 0.5000 1
```

(2)
For Y3Pt2, the PBE geometry in Alexandria gives the computed powder XRD pattern in this record (CuKα).
Intensities are scaled so that the largest is 100.

Largest 6 diffraction maxima, by angle, 15 to 90 degrees two-theta:
(1 0 0), 21.02°, I 33; (1 0 1), 25.70°, I 32; (1 0 2), 36.51°, I 100; (1 1 0), 36.83°, I 94; (0 2 2), 52.83°, I 35; (2 1 2), 66.14°, I 35

```
data_Y3Pt2
_chemical_formula_sum 'Y3 Pt2'
_cell_length_a 4.8805
_cell_length_b 4.8805
_cell_length_c 6.0551
_cell_angle_alpha 90.00
_cell_angle_beta 90.00
_cell_angle_gamma 120.00
_space_group_name_H-M_alt 'P -3 m 1'
_space_group_IT_number 164
_space_group_name_Hall '-P 3 2"'
loop_
_atom_site_label
_atom_site_fract_x
_atom_site_fract_y
_atom_site_fract_z
_atom_site_occupancy
Y1 0.0000 0.0000 0.0000 1
Y2 0.3333 0.6667 0.3360 1
Pt1 0.3333 0.6667 0.8221 1
```

(3)
For Y7Pt3, the PBE geometry in Alexandria gives the computed powder XRD pattern in this record (CuKα).
Intensities are scaled so that the largest is 100.

Largest 6 diffraction maxima, by angle, 15 to 90 degrees two-theta:
(1 0 1), 17.41°, I 68; (2 0 1), 25.06°, I 62; (2 1 1), 30.96°, I 74; (3 0 1), 34.39°, I 100; (2 0 2), 35.23°, I 82; (2 2 0), 36.24°, I 83

```
data_Y7Pt3
_chemical_formula_sum 'Y14 Pt6'
_cell_length_a 9.9157
_cell_length_b 9.9157
_cell_length_c 6.3285
_cell_angle_alpha 90.00
_cell_angle_beta 90.00
_cell_angle_gamma 120.00
_space_group_name_H-M_alt 'P 63 m c'
_space_group_IT_number 186
_space_group_name_Hall 'P 6c -2c'
loop_
_atom_site_label
_atom_site_fract_x
_atom_site_fract_y
_atom_site_fract_z
_atom_site_occupancy
Y1 0.0790 0.5395 0.0000 1
Y2 0.1266 0.2532 0.3121 1
Y3 0.3333 0.6667 0.5033 1
Pt1 0.1898 0.3797 0.7383 1
```

(4)
For Y3Pt, the PBE geometry in Alexandria gives the computed powder XRD pattern in this record (CuKα).
Intensities are scaled so that the largest is 100.

Largest 6 diffraction maxima, by angle, 15 to 90 degrees two-theta:
(2 0 1), 20.63°, I 43; (1 1 2), 30.04°, I 49; (4 2 0), 34.36°, I 76; (1 4 1), 34.67°, I 25; (3 3 1), 35.55°, I 47; (3 1 2), 37.26°, I 100

```
data_Y3Pt
_chemical_formula_sum 'Y24 Pt8'
_cell_length_a 11.6732
_cell_length_b 11.6732
_cell_length_c 6.3780
_cell_angle_alpha 90.00
_cell_angle_beta 90.00
_cell_angle_gamma 90.00
_space_group_name_H-M_alt 'P 42/n'
_space_group_IT_number 86
loop_
_space_group_symop_operation_xyz
'x,y,z'
'-x,-y,-z'
'-y,x+1/2,z+1/2'
'y,-x+1/2,-z+1/2'
'-x+1/2,-y+1/2,z'
'x+1/2,y+1/2,-z'
'y+1/2,-x,z+1/2'
'-y+1/2,x,-z+1/2'
loop_
_atom_site_label
_atom_site_fract_x
_atom_site_fract_y
_atom_site_fract_z
_atom_site_occupancy
Y1 0.0384 0.9050 0.2086 1
Y2 0.1151 0.3069 0.0241 1
Y3 0.1178 0.8377 0.7021 1
Pt1 0.0548 0.3163 0.5179 1
```

(5)
For Y8Pt, the PBE geometry in Alexandria gives the computed powder XRD pattern in this record (CuKα).
Intensities are scaled so that the largest is 100.

Largest 6 diffraction maxima, by angle, 15 to 90 degrees two-theta:
(3 3 0), 31.77°, I 52; (3 0 1), 32.82°, I 100; (6 0 0), 45.55°, I 16; (6 3 1), 57.27°, I 31; (3 3 2), 59.26°, I 17; (6 0 2), 68.82°, I 9

```
data_Y8Pt
_chemical_formula_sum 'Y16 Pt2'
_cell_length_a 11.9495
_cell_length_b 11.9495
_cell_length_c 3.7451
_cell_angle_alpha 90.00
_cell_angle_beta 90.00
_cell_angle_gamma 90.00
_space_group_name_H-M_alt 'I 4/m m m'
_space_group_IT_number 139
_space_group_name_Hall '-I 4 2'
loop_
_atom_site_label
_atom_site_fract_x
_atom_site_fract_y
_atom_site_fract_z
_atom_site_occupancy
Y1 0.0000 0.3357 0.0000 1
Y2 0.1458 0.1458 0.5000 1
Pt1 0.0000 0.0000 0.0000 1
```

(6)
For YZn12Pt4, the PBE geometry in Alexandria gives the computed powder XRD pattern in this record (CuKα).
Intensities are scaled so that the largest is 100.

Largest 6 diffraction maxima, by angle, 15 to 90 degrees two-theta:
(2 0 0), 20.40°, I 74; (2 2 0), 29.01°, I 100; (3 1 0), 32.53°, I 78; (4 2 0), 46.66°, I 94; (4 2 2), 51.43°, I 87; (6 0 2), 68.13°, I 31

```
data_YZn12Pt4
_chemical_formula_sum 'Y2 Zn24 Pt8'
_cell_length_a 8.7048
_cell_length_b 8.7048
_cell_length_c 8.7048
_cell_angle_alpha 90.00
_cell_angle_beta 90.00
_cell_angle_gamma 90.00
_space_group_name_H-M_alt 'I m -3'
_space_group_IT_number 204
_space_group_name_Hall '-I 2 2 3'
loop_
_atom_site_label
_atom_site_fract_x
_atom_site_fract_y
_atom_site_fract_z
_atom_site_occupancy
Y1 0.0000 0.0000 0.0000 1
Zn1 0.0000 0.1509 0.3513 1
Pt1 0.2500 0.2500 0.2500 1
```

(7)
For YZn5Pt3, the PBE geometry in Alexandria gives the computed powder XRD pattern in this record (CuKα).
Intensities are scaled so that the largest is 100.

Largest 6 diffraction maxima, by angle, 15 to 90 degrees two-theta:
(0 2 3), 25.95°, I 100; (1 3 2), 33.66°, I 88; (1 1 4), 38.73°, I 97; (1 5 0), 39.86°, I 79; (0 6 3), 45.42°, I 83; (2 0 0), 46.63°, I 71

```
data_YZn5Pt3
_chemical_formula_sum 'Y4 Zn20 Pt12'
_cell_length_a 3.8959
_cell_length_b 13.8873
_cell_length_c 11.8503
_cell_angle_alpha 90.00
_cell_angle_beta 90.00
_cell_angle_gamma 90.00
_space_group_name_H-M_alt 'C m c m'
_space_group_IT_number 63
_space_group_name_Hall '-C 2c 2'
loop_
_atom_site_label
_atom_site_fract_x
_atom_site_fract_y
_atom_site_fract_z
_atom_site_occupancy
Y1 0.0000 0.1916 0.2500 1
Zn1 0.0000 0.0000 0.0000 1
Zn2 0.0000 0.1972 0.5446 1
Zn3 0.0000 0.4399 0.1409 1
Pt1 0.0000 0.1379 0.7500 1
Pt2 0.0000 0.3834 0.5748 1
```

(8)
For Y2ZnPt3, the PBE geometry in Alexandria gives the computed powder XRD pattern in this record (CuKα).
Intensities are scaled so that the largest is 100.

Largest 6 diffraction maxima, by angle, 15 to 90 degrees two-theta:
(0 0 2), 21.12°, I 22; (1 0 3), 37.10°, I 23; (2 0 1), 38.88°, I 100; (2 0 3), 49.92°, I 14; (2 2 0), 67.36°, I 15; (2 0 5), 67.97°, I 18

```
data_Y2ZnPt3
_chemical_formula_sum 'Y4 Zn2 Pt6'
_cell_length_a 5.5605
_cell_length_b 5.5605
_cell_length_c 8.4124
_cell_angle_alpha 90.00
_cell_angle_beta 90.00
_cell_angle_gamma 120.00
_space_group_name_H-M_alt 'P 63/m m c'
_space_group_IT_number 194
_space_group_name_Hall '-P 6c 2c'
loop_
_atom_site_label
_atom_site_fract_x
_atom_site_fract_y
_atom_site_fract_z
_atom_site_occupancy
Y1 0.3333 0.6667 0.0582 1
Zn1 0.0000 0.0000 0.0000 1
Pt1 0.1679 0.3357 0.7500 1
```

(9)
For Y3Zn2Pt6, the PBE geometry in Alexandria gives the computed powder XRD pattern in this record (CuKα).
Intensities are scaled so that the largest is 100.

Largest 6 diffraction maxima, by angle, 15 to 90 degrees two-theta:
(3 2 1), 35.20°, I 29; (3 3 0), 40.11°, I 100; (6 0 0), 58.01°, I 13; (5 3 2), 59.76°, I 13; (6 3 3), 72.87°, I 32; (6 6 0), 86.59°, I 13

```
data_Y3Zn2Pt6
_chemical_formula_sum 'Y12 Zn8 Pt24'
_cell_length_a 9.5389
_cell_length_b 9.5389
_cell_length_c 9.5389
_cell_angle_alpha 90.00
_cell_angle_beta 90.00
_cell_angle_gamma 90.00
_space_group_name_H-M_alt 'I m -3 m'
_space_group_IT_number 229
_space_group_name_Hall '-I 4 2 3'
loop_
_atom_site_label
_atom_site_fract_x
_atom_site_fract_y
_atom_site_fract_z
_atom_site_occupancy
Y1 0.0000 0.0000 0.3036 1
Zn1 0.2500 0.2500 0.2500 1
Pt1 0.0000 0.3276 0.3276 1
```

(10)
For Y2ZrPt, the PBE geometry in Alexandria gives the computed powder XRD pattern in this record (CuKα).
Intensities are scaled so that the largest is 100.

Largest 6 diffraction maxima, by angle, 15 to 90 degrees two-theta:
(0 1 1), 19.58°, I 21; (0 0 4), 34.41°, I 19; (1 1 2), 34.64°, I 100; (0 2 0), 35.66°, I 26; (0 2 4), 50.39°, I 13; (1 3 2), 63.40°, I 17

```
data_Y2ZrPt
_chemical_formula_sum 'Y4 Zr2 Pt2'
_cell_length_a 3.7047
_cell_length_b 5.0359
_cell_length_c 10.4252
_cell_angle_alpha 90.00
_cell_angle_beta 90.00
_cell_angle_gamma 90.00
_space_group_name_H-M_alt 'I m m m'
_space_group_IT_number 71
_space_group_name_Hall '-I 2 2'
loop_
_atom_site_label
_atom_site_fract_x
_atom_site_fract_y
_atom_site_fract_z
_atom_site_occupancy
Y1 0.0000 0.0000 0.2094 1
Zr1 0.0000 0.5000 0.0000 1
Pt1 0.0000 0.5000 0.5000 1
```

(11)
For Zn3Pt13, the PBE geometry in Alexandria gives the computed powder XRD pattern in this record (CuKα).
Intensities are scaled so that the largest is 100.

Largest 6 diffraction maxima, by angle, 15 to 90 degrees two-theta:
(2 2 2), 39.57°, I 100; (0 0 4), 45.77°, I 17; (0 4 0), 46.09°, I 16; (4 0 0), 46.20°, I 16; (4 0 4), 67.02°, I 21; (2 2 6), 80.45°, I 13

```
data_Zn3Pt13
_chemical_formula_sum 'Zn6 Pt26'
_cell_length_a 7.8602
_cell_length_b 7.8781
_cell_length_c 7.9297
_cell_angle_alpha 90.00
_cell_angle_beta 90.00
_cell_angle_gamma 90.00
_space_group_name_H-M_alt 'A m m 2'
_space_group_IT_number 38
loop_
_space_group_symop_operation_xyz
'x,y,z'
'-x,-y,z'
'-x,y,z'
'x,-y,z'
'x,y+1/2,z+1/2'
'-x,-y+1/2,z+1/2'
'-x,y+1/2,z+1/2'
'x,-y+1/2,z+1/2'
loop_
_atom_site_label
_atom_site_fract_x
_atom_site_fract_y
_atom_site_fract_z
_atom_site_occupancy
Zn1 0.0000 0.0000 0.0000 1
Zn2 0.2567 0.0000 0.2640 1
Pt1 0.0000 0.0000 0.5102 1
Pt2 0.0000 0.2370 0.2547 1
Pt3 0.2442 0.0000 0.7635 1
Pt4 0.2473 0.2482 0.0117 1
Pt5 0.5000 0.0000 0.0112 1
Pt6 0.5000 0.0000 0.5093 1
Pt7 0.5000 0.2504 0.2611 1
```

(12)
For Zn3Pt2, the PBE geometry in Alexandria gives the computed powder XRD pattern in this record (CuKα).
Intensities are scaled so that the largest is 100.

Largest 6 diffraction maxima, by angle, 15 to 90 degrees two-theta:
(0 0 6), 16.57°, I 31; (0 1 5), 39.05°, I 100; (0 0 15), 42.22°, I 27; (1 0 10), 46.36°, I 61; (1 1 0), 65.40°, I 22; (1 1 15), 80.98°, I 23

```
data_Zn3Pt2
_chemical_formula_sum 'Zn9 Pt6'
_cell_length_a 2.8539
_cell_length_b 2.8539
_cell_length_c 32.1066
_cell_angle_alpha 90.00
_cell_angle_beta 90.00
_cell_angle_gamma 120.00
_space_group_name_H-M_alt 'R -3 m'
_space_group_IT_number 166
_space_group_name_Hall '-R 3 2"'
loop_
_atom_site_label
_atom_site_fract_x
_atom_site_fract_y
_atom_site_fract_z
_atom_site_occupancy
Zn1 0.0000 0.0000 0.0000 1
Zn2 0.0000 0.0000 0.2017 1
Pt1 0.0000 0.0000 0.3999 1
```

Which formula does entry 3 have?
Y7Pt3